Entry 1:
For Tl3Sb6Pb, a cell relaxed with GGA-PBE gives the simulated X-ray powder pattern in this record (Cu Kα (weighted mean of Kα1 and Kα2)).

Crystal structure
Cell: 13.2277 13.2277 13.0746 Å, 90.00 90.00 120.00°
Space group R-3c (No. 167, hexagonal axes)
One atom of each set of equivalent atoms:
1 Tl 0.0000 0.4569 0.2500
2 Sb 0.0907 0.2081 0.3330
3 Pb 0.0000 0.0000 0.0000

Peak list (10 most intense, 15 to 90 degrees two-theta, low angle first)
2θ/deg, intensity
24.66, 12.3
26.96, 24.1
28.92, 33.4
31.30, 100.0
31.51, 68.6
39.56, 12.5
41.65, 13.3
46.26, 22.6
58.75, 11.7
59.66, 24.4

Entry 2:
For Tl23Sb6Pb, a cell relaxed with GGA-PBE gives the simulated X-ray powder pattern in this record (Cu Kα (weighted mean of Kα1 and Kα2)).

Crystal structure
Cell: 9.968 9.968 19.410 Å, 90.00 90.00 90.00°
Space group I4/mmm (No. 139)
One atom of each set of equivalent atoms:
1 Tl 0.000 0.000 0.000
2 Tl 0.000 0.251 0.373
3 Tl 0.000 0.254 0.126
4 Tl 0.000 0.500 0.000
5 Tl 0.250 0.250 0.250
6 Sb 0.000 0.000 0.247
7 Sb 0.246 0.246 0.500
8 Pb 0.000 0.000 0.500

Peak list (10 most intense, 15 to 90 degrees two-theta, low angle first)
2θ/deg, intensity
20.03, 7.3
31.37, 100.0
36.04, 34.7
37.05, 16.1
51.89, 12.4
52.65, 23.7
61.90, 29.2
63.26, 13.7
65.46, 12.4
86.15, 12.0

Entry 3:
For Tl5SbPb5, a cell relaxed with GGA-PBE gives the simulated X-ray powder pattern in this record (Cu Kα (weighted mean of Kα1 and Kα2)).

Crystal structure
Cell: 7.040 7.125 7.545 Å, 76.66 77.45 89.99°
Space group P-1 (No. 2)
One atom of each set of equivalent atoms:
1 Tl 0.000 0.000 0.000
2 Tl 0.336 0.326 0.675
3 Tl 0.336 0.837 0.680
4 Sb 0.000 0.500 0.000
5 Pb 0.164 0.172 0.324
6 Pb 0.165 0.666 0.332
7 Pb 0.500 0.500 0.000

Peak list (10 most intense, 15 to 90 degrees two-theta, low angle first)
2θ/deg, intensity
31.29, 100.0
31.43, 49.2
31.85, 47.2
35.87, 70.7
37.71, 30.0
51.29, 13.4
51.96, 12.4
52.57, 11.9
61.57, 14.9
61.72, 14.7

Entry 4:
For Tl5Sb2Pb5, a cell relaxed with GGA-PBE gives the simulated X-ray powder pattern in this record (Cu Kα (weighted mean of Kα1 and Kα2)).

Crystal structure
Cell: 16.158 5.581 10.028 Å, 90.00 123.47 90.00°
Space group C2/m (No. 12)
One atom of each set of equivalent atoms:
1 Tl 0.000 0.000 0.000
2 Tl 0.089 0.000 0.760
3 Tl 0.168 0.000 0.493
4 Sb 0.156 0.500 0.017
5 Pb 0.000 0.500 0.500
6 Pb 0.075 0.500 0.254
7 Pb 0.245 0.500 0.790

Peak list (10 most intense, 15 to 90 degrees two-theta, low angle first)
2θ/deg, intensity
31.27, 88.3
31.67, 100.0
32.08, 57.8
33.27, 38.2
43.26, 17.7
46.89, 29.8
54.86, 17.9
56.67, 17.2
56.92, 20.0
58.69, 15.2

Entry 5:
For Tm6Sb2Pb, a cell relaxed with GGA-PBE gives the simulated X-ray powder pattern in this record (Cu Kα (weighted mean of Kα1 and Kα2)).

Crystal structure
Cell: 6.229 8.221 11.864 Å, 90.00 121.37 90.00°
Space group P2_1/c (No. 14)
One atom of each set of equivalent atoms:
1 Tm 0.055 0.206 0.443
2 Tm 0.316 0.653 0.451
3 Tm 0.363 0.044 0.220
4 Sb 0.142 0.113 0.738
5 Pb 0.500 0.000 0.500

Peak list (10 most intense, 15 to 90 degrees two-theta, low angle first)
2θ/deg, intensity
27.42, 45.9
30.17, 37.7
30.70, 28.0
31.49, 54.6
31.96, 100.0
32.12, 21.3
35.46, 39.1
35.63, 22.4
35.80, 48.4
37.32, 22.4

Entry 6:
For Tm4SbPb, a cell relaxed with GGA-PBE gives the simulated X-ray powder pattern in this record (Cu Kα (weighted mean of Kα1 and Kα2)).

Crystal structure
Cell: 4.829 6.508 10.702 Å, 90.00 90.00 90.00°
Space group Pmmn (No. 59, origin choice 2)
One atom of each set of equivalent atoms:
1 Tm 0.250 0.007 0.247
2 Tm 0.250 0.250 0.583
3 Tm 0.250 0.250 0.919
4 Sb 0.250 0.750 0.911
5 Pb 0.250 0.750 0.589

Peak list (10 most intense, 15 to 90 degrees two-theta, low angle first)
2θ/deg, intensity
31.17, 100.0
32.20, 39.1
34.27, 71.4
37.24, 31.9
43.81, 19.4
50.03, 22.9
54.74, 16.1
58.81, 16.3
63.39, 13.3
66.01, 23.4